# LaHfF7
Calculated X-ray diffraction stick pattern, Cu Kα, 1.54184 Å. Input: a cell relaxed with PBE.
Lines closer than 0.1° are merged.

Structural model:
Unit cell a=6.3709 b=5.9042 c=8.5751 alpha=90.00 beta=101.85 gamma=90.00
Space group P2_1 (No. 4)
Inequivalent atoms, fractional coordinates:
La 0.1572 0.0000 0.1882 (multiplicity 2)
Hf 0.3130 0.0088 0.7249 (multiplicity 2)
F 0.0554 0.6790 0.0278 (multiplicity 2)
F 0.0581 0.8029 0.7133 (multiplicity 2)
F 0.1292 0.2899 0.7168 (multiplicity 2)
F 0.2592 0.0039 0.4850 (multiplicity 2)
F 0.3578 0.0117 0.9638 (multiplicity 2)
F 0.4332 0.7152 0.2668 (multiplicity 2)
F 0.4778 0.2484 0.2635 (multiplicity 2)

Top 10 peaks for 2θ = 15–90°, most intense first:
Position (°2θ)  I/Imax
20.72  1000
21.17  407
27.57  292
45.41  198
24.62  156
21.91  155
42.00  151
30.28  148
48.51  133
50.51  117

***

# LuHfF7
Calculated X-ray diffraction stick pattern, Cu Kα, 1.54184 Å. Input: a cell relaxed with PBE.
Lines closer than 0.1° are merged.

Structural model:
Unit cell a=5.9672 b=5.5930 c=8.1351 alpha=90.00 beta=102.11 gamma=90.00
Space group P2_1 (No. 4)
Inequivalent atoms, fractional coordinates:
Lu 0.1543 0.0000 0.1828 (multiplicity 2)
Hf 0.3116 0.9896 0.7239 (multiplicity 2)
F 0.0404 0.2041 0.7129 (multiplicity 2)
F 0.0450 0.3065 0.0218 (multiplicity 2)
F 0.1190 0.6916 0.7192 (multiplicity 2)
F 0.2551 0.9938 0.4740 (multiplicity 2)
F 0.3615 0.9874 0.9753 (multiplicity 2)
F 0.4218 0.2678 0.2675 (multiplicity 2)
F 0.4549 0.7533 0.2597 (multiplicity 2)

Top 10 peaks for 2θ = 15–90°, most intense first:
Position (°2θ)  I/Imax
22.02  1000
22.35  387
29.14  314
48.60  254
26.16  195
44.93  171
32.00  157
27.52  150
44.68  145
23.21  136

***

# HfNF4
Calculated X-ray diffraction stick pattern, Cu Kα, 1.54184 Å. Input: a cell relaxed with PBE.
Lines closer than 0.1° are merged.

Structural model:
Unit cell a=6.3260 b=7.8553 c=8.4299 alpha=105.26 beta=98.15 gamma=108.43
Space group P-1 (No. 2)
Inequivalent atoms, fractional coordinates:
Hf 0.2277 0.2055 0.1419 (multiplicity 2)
Hf 0.2459 0.7050 0.1155 (multiplicity 2)
N 0.2825 0.1296 0.6457 (multiplicity 2)
N 0.2894 0.6237 0.6146 (multiplicity 2)
F 0.0508 0.0484 0.8827 (multiplicity 2)
F 0.0720 0.7380 0.8967 (multiplicity 2)
F 0.0971 0.4277 0.9038 (multiplicity 2)
F 0.2434 0.2615 0.3765 (multiplicity 2)
F 0.2541 0.8072 0.3485 (multiplicity 2)
F 0.3463 0.5053 0.1953 (multiplicity 2)
F 0.3754 0.0030 0.1505 (multiplicity 2)
F 0.4897 0.2728 0.0108 (multiplicity 2)

Top 10 peaks for 2θ = 15–90°, most intense first:
Position (°2θ)  I/Imax
16.57  1000
23.96  495
24.75  480
25.30  359
21.09  349
30.74  312
30.36  266
30.00  250
31.84  220
32.04  218

***

# NaHf2TiF11
Calculated X-ray diffraction stick pattern, Cu Kα, 1.54184 Å. Input: a cell relaxed with PBE.
Lines closer than 0.1° are merged.

Structural model:
Unit cell a=9.3671 b=6.8936 c=7.8339 alpha=90.00 beta=117.79 gamma=90.00
Space group Cm (No. 8)
Inequivalent atoms, fractional coordinates:
Na 0.0000 0.0000 0.0000 (multiplicity 2)
Hf 0.0021 0.5000 0.7713 (multiplicity 2)
Hf 0.0053 0.5000 0.2377 (multiplicity 2)
Ti 0.0039 0.0000 0.5024 (multiplicity 2)
F 0.0124 0.2124 0.3090 (multiplicity 4)
F 0.0306 0.5000 0.5206 (multiplicity 2)
F 0.2375 0.5000 0.9253 (multiplicity 2)
F 0.2504 0.5000 0.3567 (multiplicity 2)
F 0.2565 0.0000 0.6392 (multiplicity 2)
F 0.2694 0.0000 0.1233 (multiplicity 2)
F 0.4893 0.2874 0.6947 (multiplicity 4)
F 0.4958 0.1671 0.0002 (multiplicity 4)

Top 10 peaks for 2θ = 15–90°, most intense first:
Position (°2θ)  I/Imax
16.73  1000
21.45  732
26.20  722
25.85  368
34.95  295
50.50  273
43.68  248
45.80  245
24.64  184
33.28  168

***

# NdHf2F11
Calculated X-ray diffraction stick pattern, Cu Kα, 1.54184 Å. Input: a cell relaxed with PBE.
Lines closer than 0.1° are merged.

Structural model:
Unit cell a=7.7831 b=10.0476 c=11.0458 alpha=90.00 beta=90.00 gamma=90.00
Space group Ibam (No. 72)
Inequivalent atoms, fractional coordinates:
Nd 0.0000 0.0000 0.2500 (multiplicity 4)
Hf 0.1344 0.3188 0.0000 (multiplicity 8)
F 0.0000 0.5000 0.0000 (multiplicity 4)
F 0.1016 0.1851 0.1356 (multiplicity 16)
F 0.1295 0.2796 0.5000 (multiplicity 8)
F 0.2361 0.0768 0.3708 (multiplicity 16)

Top 10 peaks for 2θ = 15–90°, most intense first:
Position (°2θ)  I/Imax
21.62  1000
25.84  884
23.95  779
22.55  543
44.07  515
16.05  428
49.68  401
47.28  358
29.02  352
45.23  212

***

# Rb2Hf3OF12
Calculated X-ray diffraction stick pattern, Cu Kα, 1.54184 Å. Input: a cell relaxed with PBE.
Lines closer than 0.1° are merged.

Structural model:
Unit cell a=7.7578 b=7.7578 c=30.2792 alpha=90.00 beta=90.00 gamma=120.00
Space group R-3m (No. 166, hexagonal axes)
Inequivalent atoms, fractional coordinates:
Rb 0.0000 0.0000 0.0000 (multiplicity 3)
Rb 0.0000 0.0000 0.1386 (multiplicity 6)
Rb 0.0000 0.0000 0.5000 (multiplicity 3)
Hf 0.0315 0.5157 0.9405 (multiplicity 18)
O 0.0000 0.0000 0.2871 (multiplicity 6)
F 0.0000 0.3528 0.0000 (multiplicity 18)
F 0.0052 0.5026 0.5931 (multiplicity 18)
F 0.0423 0.5211 0.8748 (multiplicity 18)
F 0.1098 0.5549 0.2627 (multiplicity 18)

Top 10 peaks for 2θ = 15–90°, most intense first:
Position (°2θ)  I/Imax
26.70  1000
27.19  649
46.84  440
24.48  324
26.49  315
27.04  302
54.61  299
29.03  286
17.59  271
44.25  271

***

# PrHfF7
Calculated X-ray diffraction stick pattern, Cu Kα, 1.54184 Å. Input: a cell relaxed with PBE.
Lines closer than 0.1° are merged.

Structural model:
Unit cell a=6.3055 b=5.8510 c=8.4866 alpha=90.00 beta=101.47 gamma=90.00
Space group P2_1 (No. 4)
Inequivalent atoms, fractional coordinates:
Pr 0.1581 0.0000 0.1883 (multiplicity 2)
Hf 0.3117 0.9912 0.7244 (multiplicity 2)
F 0.0536 0.3180 0.0270 (multiplicity 2)
F 0.0548 0.1985 0.7137 (multiplicity 2)
F 0.1272 0.7073 0.7165 (multiplicity 2)
F 0.2584 0.9946 0.4836 (multiplicity 2)
F 0.3580 0.9869 0.9656 (multiplicity 2)
F 0.4338 0.2815 0.2689 (multiplicity 2)
F 0.4745 0.7513 0.2620 (multiplicity 2)

Top 10 peaks for 2θ = 15–90°, most intense first:
Position (°2θ)  I/Imax
20.91  1000
21.37  402
27.89  291
45.92  195
24.80  156
30.56  147
22.15  147
42.45  146
48.97  133
50.21  128

***

# TbHfF7
Calculated X-ray diffraction stick pattern, Cu Kα, 1.54184 Å. Input: a cell relaxed with PBE.
Lines closer than 0.1° are merged.

Structural model:
Unit cell a=6.1116 b=5.6959 c=8.2774 alpha=90.00 beta=101.79 gamma=90.00
Space group P2_1 (No. 4)
Inequivalent atoms, fractional coordinates:
Tb 0.1567 0.0000 0.1858 (multiplicity 2)
Hf 0.3111 0.9901 0.7240 (multiplicity 2)
F 0.0460 0.2011 0.7131 (multiplicity 2)
F 0.0478 0.3101 0.0234 (multiplicity 2)
F 0.1227 0.6978 0.7174 (multiplicity 2)
F 0.2557 0.9932 0.4774 (multiplicity 2)
F 0.3602 0.9858 0.9712 (multiplicity 2)
F 0.4280 0.2724 0.2691 (multiplicity 2)
F 0.4633 0.7517 0.2603 (multiplicity 2)

Top 10 peaks for 2θ = 15–90°, most intense first:
Position (°2θ)  I/Imax
21.54  1000
21.94  394
28.62  302
25.57  172
31.41  151
47.43  150
43.73  143
22.77  139
50.43  132
27.01  132

***

# HfTlF5
Calculated X-ray diffraction stick pattern, Cu Kα, 1.54184 Å. Input: a cell relaxed with PBE.
Lines closer than 0.1° are merged.

Structural model:
Unit cell a=7.6720 b=7.9673 c=7.9884 alpha=90.00 beta=116.96 gamma=90.00
Space group P2_1/c (No. 14)
Inequivalent atoms, fractional coordinates:
Hf 0.0090 0.1622 0.3409 (multiplicity 4)
Tl 0.4310 0.5287 0.7034 (multiplicity 4)
F 0.0049 0.0631 0.7891 (multiplicity 4)
F 0.0122 0.2099 0.0650 (multiplicity 4)
F 0.1718 0.5054 0.0711 (multiplicity 4)
F 0.2738 0.7086 0.3369 (multiplicity 4)
F 0.2927 0.2068 0.4129 (multiplicity 4)

Top 10 peaks for 2θ = 15–90°, most intense first:
Position (°2θ)  I/Imax
26.06  1000
25.86  866
25.01  569
31.77  428
48.54  419
24.46  405
26.74  376
51.67  270
47.40  261
35.75  236

***

# Hg3F
Calculated X-ray diffraction stick pattern, Cu Kα, 1.54184 Å. Input: a cell relaxed with PBE.
Lines closer than 0.1° are merged.

Structural model:
Unit cell a=7.0246 b=7.0246 c=7.0246 alpha=90.00 beta=90.00 gamma=90.00
Space group Fm-3m (No. 225)
Inequivalent atoms, fractional coordinates:
Hg 0.0000 0.0000 0.0000 (multiplicity 4)
Hg 0.2500 0.2500 0.2500 (multiplicity 8)
F 0.0000 0.0000 0.5000 (multiplicity 4)

Top 10 peaks for 2θ = 15–90°, most intense first:
Position (°2θ)  I/Imax
36.17  1000
65.05  367
21.92  192
52.08  178
87.91  172
76.75  116
42.69  109
25.36  102
57.16  48
58.79  44

***

# Hg3F
Calculated X-ray diffraction stick pattern, Cu Kα, 1.54184 Å. Input: a cell relaxed with PBE.
Lines closer than 0.1° are merged.

Structural model:
Unit cell a=4.5048 b=4.5048 c=8.3514 alpha=90.00 beta=90.00 gamma=90.00
Space group I4/mmm (No. 139)
Inequivalent atoms, fractional coordinates:
Hg 0.0000 0.0000 0.0000 (multiplicity 2)
Hg 0.0000 0.5000 0.2500 (multiplicity 4)
F 0.0000 0.0000 0.5000 (multiplicity 2)

Top 10 peaks for 2θ = 15–90°, most intense first:
Position (°2θ)  I/Imax
35.44  1000
40.03  359
69.75  284
22.42  259
60.46  216
43.34  144
57.90  123
74.38  119
75.00  116
46.36  82